Record 1
# Y3Er5P8
Theoretical X-ray diffraction stick pattern, Cu Ka. Input: a structure optimized by DFT (PBE).
Intensities are scaled so that the largest is 100.

Cell and atoms:
```
data_Y3Er5P8
_chemical_formula_sum 'Y9 Er15 P24'
_cell_length_a 7.9701
_cell_length_b 7.9701
_cell_length_c 19.5199
_cell_angle_alpha 90.00
_cell_angle_beta 90.00
_cell_angle_gamma 120.00
_symmetry_space_group_name_H-M 'R -3 m'
_symmetry_Int_Tables_number 166
_symmetry_space_group_name_Hall '-R 3 2"'
loop_
_atom_site_label
_atom_site_fract_x
_atom_site_fract_y
_atom_site_fract_z
_atom_site_occupancy
Y1 0.0000 0.5000 0.0000 1
Er1 0.0000 0.0000 0.0000 1
Er2 0.0000 0.0000 0.5000 1
Er3 0.0000 0.5000 0.5000 1
P1 0.0000 0.0000 0.2490 1
P2 0.0013 0.5007 0.7507 1
```

Most intense lines, 2θ = 5–70°, in order of falling intensity:
- 31.76°, I = 100, hkl 0 2 4
- 27.41°, I = 77, hkl 2 0 2
- 45.53°, I = 72, hkl 2 2 0
- 53.96°, I = 37, hkl 2 2 6
- 56.57°, I = 25, hkl 4 0 4
- 66.35°, I = 12, hkl 0 4 8
- 13.61°, I = 9, hkl 0 0 3
- 26.22°, I = 6, hkl 0 2 1
- 34.69°, I = 3, hkl 2 0 5
- 47.74°, I = 3, hkl 2 2 3

Record 2
# ScSiAgO4
Theoretical X-ray diffraction stick pattern, Cu Ka. Input: a structure optimized by DFT (PBE).
Intensities are scaled so that the largest is 100.

Cell and atoms:
```
data_ScSiAgO4
_chemical_formula_sum 'Sc2 Si2 Ag2 O8'
_cell_length_a 5.4642
_cell_length_b 5.8630
_cell_length_c 6.7351
_cell_angle_alpha 90.00
_cell_angle_beta 105.64
_cell_angle_gamma 90.00
_symmetry_space_group_name_H-M 'P 1 21/m 1'
_symmetry_Int_Tables_number 11
loop_
_symmetry_equiv_pos_as_xyz
'x,y,z'
'-x,-y,-z'
'-x,y+1/2,-z'
'x,-y+1/2,z'
loop_
_atom_site_label
_atom_site_fract_x
_atom_site_fract_y
_atom_site_fract_z
_atom_site_occupancy
Sc1 0.1826 0.2500 0.0239 1
Si1 0.2766 0.7500 0.8528 1
Ag1 0.4687 0.7500 0.3969 1
O1 0.0755 0.5364 0.8357 1
O2 0.4847 0.7500 0.0824 1
O3 0.4855 0.7500 0.7168 1
```

Most intense lines, 2θ = 5–70°, in order of falling intensity:
- 16.85°, I = 100, hkl 1 0 0
- 30.49°, I = 85, hkl 0 2 0
- 35.04°, I = 79, hkl 1 2 0
- 31.53°, I = 78, hkl 0 1 2
- 24.49°, I = 67, hkl 1 0 1
- 18.63°, I = 62, hkl 1 0 -1
- 32.11°, I = 60, hkl 1 1 -2
- 28.90°, I = 56, hkl 1 1 1
- 49.30°, I = 51, hkl 2 1 -3
- 33.11°, I = 39, hkl 2 0 -1

Record 3
# Tm2MnIn
Theoretical X-ray diffraction stick pattern, Cu Ka. Input: a structure optimized by DFT (PBE).
Intensities are scaled so that the largest is 100.

Cell and atoms:
```
data_Tm2MnIn
_chemical_formula_sum 'Tm8 Mn4 In4'
_cell_length_a 7.2509
_cell_length_b 7.2509
_cell_length_c 7.2509
_cell_angle_alpha 90.00
_cell_angle_beta 90.00
_cell_angle_gamma 90.00
_symmetry_space_group_name_H-M 'F m -3 m'
_symmetry_Int_Tables_number 225
_symmetry_space_group_name_Hall '-F 4 2 3'
loop_
_atom_site_label
_atom_site_fract_x
_atom_site_fract_y
_atom_site_fract_z
_atom_site_occupancy
Tm1 0.2500 0.2500 0.2500 1
Mn1 0.0000 0.0000 0.0000 1
In1 0.0000 0.0000 0.5000 1
```

Most intense lines, 2θ = 5–70°, in order of falling intensity:
- 35.00°, I = 100, hkl 2 2 0
- 62.78°, I = 36, hkl 4 2 2
- 50.34°, I = 18, hkl 4 0 0
- 24.55°, I = 12, hkl 2 0 0
- 56.78°, I = 6, hkl 4 2 0
- 43.22°, I = 4, hkl 2 2 2
- 21.22°, I = 3, hkl 1 1 1
- 41.30°, I = 2, hkl 3 1 1
- 55.22°, I = 1, hkl 3 3 1
- 67.07°, I = 1, hkl 5 1 1

Record 4
# Th2AgSb4
Theoretical X-ray diffraction stick pattern, Cu Ka. Input: a structure optimized by DFT (PBE).
Intensities are scaled so that the largest is 100.

Cell and atoms:
```
data_Th2AgSb4
_chemical_formula_sum 'Th2 Ag1 Sb4'
_cell_length_a 4.4159
_cell_length_b 4.4159
_cell_length_c 10.2268
_cell_angle_alpha 90.00
_cell_angle_beta 90.00
_cell_angle_gamma 90.00
_symmetry_space_group_name_H-M 'P -4 m 2'
_symmetry_Int_Tables_number 115
loop_
_symmetry_equiv_pos_as_xyz
'x,y,z'
'y,-x,-z'
'-x,-y,z'
'-y,x,-z'
'-x,y,z'
'-y,-x,-z'
'x,-y,z'
'y,x,-z'
loop_
_atom_site_label
_atom_site_fract_x
_atom_site_fract_y
_atom_site_fract_z
_atom_site_occupancy
Th1 0.0000 0.5000 0.2440 1
Ag1 0.0000 0.0000 0.5000 1
Sb1 0.0000 0.0000 0.0000 1
Sb2 0.0000 0.5000 0.6687 1
Sb3 0.5000 0.5000 0.0000 1
```

Most intense lines, 2θ = 5–70°, in order of falling intensity:
- 33.63°, I = 100, hkl 1 1 2
- 40.86°, I = 43, hkl 2 0 0
- 33.20°, I = 24, hkl 1 0 3
- 69.82°, I = 24, hkl 3 1 2
- 21.92°, I = 22, hkl 1 0 1
- 49.10°, I = 21, hkl 1 0 5
- 59.16°, I = 17, hkl 2 2 0
- 65.73°, I = 16, hkl 2 1 5
- 26.67°, I = 15, hkl 1 0 2
- 53.63°, I = 14, hkl 2 1 3

Record 5
# La3InGe2Au6
Theoretical X-ray diffraction stick pattern, Cu Ka. Input: a structure optimized by DFT (PBE).
Intensities are scaled so that the largest is 100.

Cell and atoms:
```
data_La3InGe2Au6
_chemical_formula_sum 'La3 In1 Ge2 Au6'
_cell_length_a 6.3688
_cell_length_b 6.3688
_cell_length_c 8.4723
_cell_angle_alpha 90.00
_cell_angle_beta 90.00
_cell_angle_gamma 120.00
_symmetry_space_group_name_H-M 'P -3 m 1'
_symmetry_Int_Tables_number 164
_symmetry_space_group_name_Hall '-P 3 2"'
loop_
_atom_site_label
_atom_site_fract_x
_atom_site_fract_y
_atom_site_fract_z
_atom_site_occupancy
La1 0.0000 0.0000 0.0000 1
La2 0.3333 0.6667 0.6439 1
In1 0.0000 0.0000 0.5000 1
Ge1 0.3333 0.6667 0.0317 1
Au1 0.1813 0.3626 0.2735 1
```

Most intense lines, 2θ = 5–70°, in order of falling intensity:
- 34.19°, I = 100, hkl 0 2 1
- 38.97°, I = 49, hkl 2 0 2
- 35.26°, I = 32, hkl 1 1 2
- 46.00°, I = 31, hkl 0 2 3
- 20.97°, I = 27, hkl 0 0 2
- 57.92°, I = 26, hkl 2 2 0
- 19.20°, I = 19, hkl 0 1 1
- 62.51°, I = 13, hkl 1 2 4
- 31.68°, I = 13, hkl 0 0 3
- 32.47°, I = 12, hkl 2 0 0

Record 6
# KNa2HO2
Theoretical X-ray diffraction stick pattern, Cu Ka. Input: a structure optimized by DFT (PBE).
Intensities are scaled so that the largest is 100.

Cell and atoms:
```
data_KNa2HO2
_chemical_formula_sum 'K2 Na4 H2 O4'
_cell_length_a 3.9717
_cell_length_b 3.9717
_cell_length_c 10.0778
_cell_angle_alpha 90.00
_cell_angle_beta 90.00
_cell_angle_gamma 90.00
_symmetry_space_group_name_H-M 'I 4/m m m'
_symmetry_Int_Tables_number 139
_symmetry_space_group_name_Hall '-I 4 2'
loop_
_atom_site_label
_atom_site_fract_x
_atom_site_fract_y
_atom_site_fract_z
_atom_site_occupancy
K1 0.0000 0.0000 0.0000 1
Na1 0.0000 0.5000 0.2500 1
H1 0.0000 0.0000 0.5000 1
O1 0.0000 0.0000 0.3751 1
```

Most intense lines, 2θ = 5–70°, in order of falling intensity:
- 36.63°, I = 100, hkl 1 1 2
- 34.98°, I = 54, hkl 1 0 3
- 45.69°, I = 45, hkl 2 0 0
- 58.81°, I = 19, hkl 2 1 3
- 50.80°, I = 16, hkl 1 0 5
- 64.66°, I = 15, hkl 1 1 6
- 66.60°, I = 12, hkl 2 2 0
- 35.64°, I = 11, hkl 0 0 4
- 59.25°, I = 10, hkl 2 0 4
- 24.08°, I = 8, hkl 1 0 1

Record 7
# Dy6Ho2Er3Sc
Theoretical X-ray diffraction stick pattern, Cu Ka. Input: a structure optimized by DFT (PBE).
Intensities are scaled so that the largest is 100.

Cell and atoms:
```
data_Dy6Ho2Er3Sc
_chemical_formula_sum 'Dy12 Ho4 Er6 Sc2'
_cell_length_a 6.0797
_cell_length_b 10.5178
_cell_length_c 11.6112
_cell_angle_alpha 90.00
_cell_angle_beta 99.99
_cell_angle_gamma 90.00
_symmetry_space_group_name_H-M 'C 1 2/m 1'
_symmetry_Int_Tables_number 12
loop_
_symmetry_equiv_pos_as_xyz
'x,y,z'
'-x,-y,-z'
'-x,y,-z'
'x,-y,z'
'x+1/2,y+1/2,z'
'-x+1/2,-y+1/2,-z'
'-x+1/2,y+1/2,-z'
'x+1/2,-y+1/2,z'
loop_
_atom_site_label
_atom_site_fract_x
_atom_site_fract_y
_atom_site_fract_z
_atom_site_occupancy
Dy1 0.2480 0.1656 0.2482 1
Dy2 0.2488 0.0000 0.7516 1
Ho1 0.0000 0.3334 0.0000 1
Er1 0.0000 0.1665 0.5000 1
Er2 0.0000 0.5000 0.5000 1
Sc1 0.0000 0.0000 0.0000 1
```

Most intense lines, 2θ = 5–70°, in order of falling intensity:
- 31.25°, I = 100, hkl 1 3 1
- 36.24°, I = 51, hkl 2 0 2
- 52.17°, I = 30, hkl 1 3 5
- 62.06°, I = 25, hkl 4 0 0
- 62.13°, I = 18, hkl 2 0 6
- 65.15°, I = 9, hkl 2 6 2
- 52.23°, I = 6, hkl 2 0 -6
- 65.28°, I = 3, hkl 0 0 8
- 7.73°, I = 2, hkl 0 0 1
- 17.04°, I = 1, hkl 1 1 0

Record 8
# P3Pb5O12F
Theoretical X-ray diffraction stick pattern, Cu Ka. Input: a structure optimized by DFT (PBE).
Intensities are scaled so that the largest is 100.

Cell and atoms:
```
data_P3Pb5O12F
_chemical_formula_sum 'P6 Pb10 O24 F2'
_cell_length_a 10.0343
_cell_length_b 10.0343
_cell_length_c 7.4754
_cell_angle_alpha 90.00
_cell_angle_beta 90.00
_cell_angle_gamma 120.00
_symmetry_space_group_name_H-M 'P 63/m'
_symmetry_Int_Tables_number 176
_symmetry_space_group_name_Hall '-P 6c'
loop_
_atom_site_label
_atom_site_fract_x
_atom_site_fract_y
_atom_site_fract_z
_atom_site_occupancy
P1 0.0316 0.4022 0.2500 1
Pb1 0.0046 0.7538 0.2500 1
Pb2 0.3333 0.6667 0.5028 1
O1 0.0851 0.3484 0.0822 1
O2 0.1203 0.5834 0.2500 1
O3 0.1444 0.6611 0.7500 1
F1 0.0000 0.0000 0.2500 1
```

Most intense lines, 2θ = 5–70°, in order of falling intensity:
- 29.76°, I = 100, hkl 1 1 2
- 30.87°, I = 27, hkl 3 0 0
- 25.95°, I = 26, hkl 1 0 2
- 27.15°, I = 23, hkl 2 1 0
- 21.33°, I = 23, hkl 1 1 1
- 48.47°, I = 21, hkl 4 0 2
- 43.45°, I = 20, hkl 2 2 2
- 20.44°, I = 19, hkl 2 0 0
- 45.70°, I = 18, hkl 1 2 3
- 44.74°, I = 15, hkl 3 1 2

Q: What is the formula in the second record?
A: ScSiAgO4